This entry pairs a crystal structure of PaGa3Ir3 with its simulated powder diffraction line list. Radiation: Cu Kα (λ = 1.5418 Å). Structure: a DFT-relaxed cell (PBE, Alexandria).

Structure:
Cell lengths 6.7370, 6.7370, 6.7370 Å; angles 90.00, 90.00, 90.00 degrees
Space group Pm-3n (No. 223)
Unique sites:
Pa (0.0000, 0.0000, 0.0000)
Ga (0.0000, 0.2500, 0.5000)
Ir (0.0000, 0.5000, 0.2500)

Largest 10 diffraction maxima, by angle, 2θ = 10–90°:
2theta, d (Å), I_rel
26.46, 3.368, 42
29.65, 3.013, 28
32.56, 2.750, 100
46.71, 1.945, 16
50.70, 1.801, 59
54.48, 1.684, 25
61.56, 1.506, 16
77.62, 1.230, 17
80.68, 1.191, 16
89.72, 1.093, 19